Entry 1:
MnCd2Hg: simulated X-ray diffraction stick pattern (Cu Kα), based on a DFT-relaxed cell (GGA-PBE, Alexandria).
Kinematic intensities with the Lorentz-polarization factor, no thermal factor.

Principal peaks in the range 2θ = 10–80°, most intense first:
d_spacing  Rel. int.
2.499  100.0
2.190  61.7
2.627  36.1
1.521  21.5
1.316  20.4
3.503  17.9
5.254  14.2
1.578  14.2

Structure:
a b c (Å): 10.6536 10.6536 10.6536
angles (deg): 16.42 16.42 16.42
Positions (direct):
Mn 0.0000 0.0000 0.0000
Cd 0.2592 0.2592 0.2592
Cd 0.5004 0.5004 0.5004
Hg 0.7412 0.7412 0.7412

=====

Entry 2:
MnCdHgTe3: simulated X-ray diffraction stick pattern (Cu Kα), based on a DFT-relaxed cell (GGA-PBE, Alexandria).
Kinematic intensities with the Lorentz-polarization factor, no thermal factor.

Principal peaks in the range 2θ = 10–80°, most intense first:
d_spacing  Rel. int.
2.302  100.0
3.775  76.4
3.754  75.8
1.963  36.8
1.973  25.6
2.320  20.9
1.492  14.8
1.336  13.8

Structure:
a b c (Å): 7.9700 7.9700 6.4939
angles (deg): 114.03 114.03 33.84
Positions (direct):
Mn 0.0000 0.0000 0.0000
Cd 0.3358 0.3358 0.3321
Hg 0.6651 0.6651 0.6614
Te 0.1610 0.1610 0.9191
Te 0.4999 0.4999 0.2252
Te 0.8403 0.8403 0.5948

=====

Entry 3:
CdHg2Mo: simulated X-ray diffraction stick pattern (Cu Kα), based on a DFT-relaxed cell (GGA-PBE, Alexandria).
Kinematic intensities with the Lorentz-polarization factor, no thermal factor.

Principal peaks in the range 2θ = 10–80°, most intense first:
d_spacing  Rel. int.
2.494  100.0
2.164  63.8
2.512  30.6
1.304  23.4
1.526  22.2
1.534  18.2
5.024  14.9
1.301  12.9

Structure:
a b c (Å): 10.2020 10.2020 10.2020
angles (deg): 17.20 17.20 17.20
Positions (direct):
Cd 0.0000 0.0000 0.0000
Hg 0.2444 0.2444 0.2444
Hg 0.7556 0.7556 0.7556
Mo 0.5000 0.5000 0.5000

=====

Entry 4:
Cd2HgN2: simulated X-ray diffraction stick pattern (Cu Kα), based on a DFT-relaxed cell (GGA-PBE, Alexandria).
Kinematic intensities with the Lorentz-polarization factor, no thermal factor.

Principal peaks in the range 2θ = 10–80°, most intense first:
d_spacing  Rel. int.
2.431  100.0
2.443  82.2
2.769  74.3
3.009  74.1
2.038  49.4
2.272  44.9
2.580  44.6
2.724  44.5

Structure:
a b c (Å): 3.1593 3.1593 15.1132
angles (deg): 92.57 92.57 122.47
Positions (direct):
Cd 0.0945 0.0945 0.1909
Cd 0.9055 0.9055 0.8091
Hg 0.5000 0.5000 0.0000
N 0.0188 0.0188 0.5370
N 0.9812 0.9812 0.4630